Entry 1:
Calculated XRD peak list
Compound: Ba3NaOs2O9
Radiation: Cu Kα (λ = 1.5418 Å)
Structure: a DFT-relaxed cell (GGA-PBE, Alexandria)
Intensities are scaled so that the largest is 1000.

```
Ba3NaOs2O9
1.0
5.982 0.000 0.000
-2.991 5.181 0.000
0.000 0.000 14.494
Ba Na Os O
6 2 4 18
Cartesian
0.000 0.000 3.623
0.000 0.000 10.870
0.000 3.454 1.287
0.000 3.454 5.960
2.991 1.727 8.534
2.991 1.727 13.206
0.000 0.000 0.000
0.000 0.000 7.247
0.000 3.454 9.601
0.000 3.454 12.140
2.991 1.727 2.354
2.991 1.727 4.893
-1.419 2.634 10.870
0.000 1.866 8.572
0.000 1.866 13.168
-1.375 4.248 8.572
-1.375 4.248 13.168
1.616 0.933 1.325
1.616 0.933 5.922
1.419 2.634 10.870
0.000 5.093 10.870
2.991 0.088 3.623
1.572 2.546 3.623
1.375 4.248 8.572
1.375 4.248 13.168
4.366 0.933 1.325
4.366 0.933 5.922
2.991 3.315 1.325
2.991 3.315 5.922
4.410 2.546 3.623
```

Peak list (8 most intense, 2θ = 10–90°, by angle)
d [Å]  I_rel
5.181  202
4.878  379
2.991  1000
2.969  376
2.530  305
2.107  241
1.727  203
1.495  184

=====

Entry 2:
Calculated XRD peak list
Compound: CeGa12Cu4
Radiation: Cu Kα (λ = 1.5418 Å)
Structure: a DFT-relaxed cell (GGA-PBE, Alexandria)
Intensities are scaled so that the largest is 1000.

```
CeGa12Cu4
1.0
-4.310 4.310 4.310
4.310 -4.310 4.310
4.310 4.310 -4.310
Ce Ga Cu
1 12 4
Cartesian
0.000 0.000 0.000
2.994 1.355 0.000
5.625 1.355 0.000
4.310 -1.315 2.955
2.955 4.310 -1.315
1.355 0.000 2.994
4.310 1.315 2.955
0.000 2.994 1.355
2.955 4.310 1.315
1.355 0.000 5.625
0.000 5.625 1.355
-1.315 2.955 4.310
1.315 2.955 4.310
2.155 2.155 -2.155
2.155 -2.155 2.155
-2.155 2.155 2.155
2.155 2.155 2.155
```

Peak list (8 most intense, 2θ = 10–90°, by angle)
d [Å]  I_rel
3.047  133
2.726  1000
2.304  484
1.927  174
1.759  336
1.690  342
1.271  153
1.132  91

=====

Entry 3:
Calculated XRD peak list
Compound: NdAl8Co2
Radiation: Cu Kα (λ = 1.5418 Å)
Structure: a DFT-relaxed cell (GGA-PBE, Alexandria)
Intensities are scaled so that the largest is 1000.

```
NdAl8Co2
1.0
12.457 0.000 0.000
0.000 14.410 0.000
0.000 0.000 4.001
Nd Al Co
4 32 8
Cartesian
1.982 2.605 0.000
4.247 9.810 0.000
8.210 4.600 0.000
10.475 11.805 0.000
0.000 0.000 0.000
0.000 7.205 2.001
0.326 12.509 2.001
0.583 4.622 2.001
1.199 10.769 0.000
1.984 6.570 0.000
1.982 8.944 2.001
2.108 0.114 2.001
2.946 11.925 2.001
3.282 4.720 2.001
4.121 7.319 2.001
4.246 1.739 2.001
4.245 13.775 0.000
5.029 3.564 0.000
5.646 11.827 2.001
5.902 5.304 2.001
6.228 0.000 2.001
6.228 7.205 0.000
6.555 9.106 2.001
6.811 2.582 2.001
7.428 10.845 0.000
8.212 0.635 0.000
8.211 12.671 2.001
8.336 7.091 2.001
9.175 9.690 2.001
9.511 2.485 2.001
10.349 14.296 2.001
10.475 5.466 2.001
10.473 7.840 0.000
11.258 3.641 0.000
11.874 9.787 2.001
12.131 1.901 2.001
0.434 8.571 0.000
1.895 13.023 0.000
4.334 5.818 0.000
5.794 1.366 0.000
6.662 13.044 0.000
8.123 8.592 0.000
10.562 1.387 0.000
12.023 5.839 0.000
```

Peak list (8 most intense, 2θ = 10–90°, by angle)
d [Å]  I_rel
3.996  971
3.461  314
2.617  863
2.471  1000
2.423  387
2.049  377
2.001  507
1.955  408

=====

Entry 4:
Calculated XRD peak list
Compound: LaZn8P6
Radiation: Cu Kα (λ = 1.5418 Å)
Structure: a DFT-relaxed cell (GGA-PBE, Alexandria)
Intensities are scaled so that the largest is 1000.

```
LaZn8P6
1.0
7.361 0.000 0.000
-3.680 6.375 0.000
0.000 0.000 13.048
La Zn P
2 16 12
Cartesian
0.000 0.000 0.000
0.000 0.000 6.524
-1.138 1.970 3.894
-1.458 2.525 8.596
-2.223 3.850 2.072
-2.543 4.404 10.417
2.275 0.000 3.894
1.138 1.970 10.417
0.000 4.250 5.637
0.000 4.250 12.161
2.915 0.000 8.596
1.458 2.525 2.072
4.446 0.000 2.072
2.223 3.850 8.596
3.680 2.125 5.637
3.680 2.125 12.161
5.086 0.000 10.417
2.543 4.404 3.894
0.000 0.000 3.062
0.000 0.000 9.586
-1.418 2.457 6.245
-2.262 3.918 12.769
0.000 4.250 3.092
0.000 4.250 9.616
2.837 0.000 6.245
1.418 2.457 12.769
4.524 0.000 12.769
2.262 3.918 6.245
3.680 2.125 3.092
3.680 2.125 9.616
```

Peak list (8 most intense, 2θ = 10–90°, by angle)
d [Å]  I_rel
3.542  488
3.205  469
2.904  266
2.864  226
2.809  361
2.441  257
2.126  1000
1.796  148

=====

Entry 5:
Calculated XRD peak list
Compound: Nb14GaRh
Radiation: Cu Kα (λ = 1.5418 Å)
Structure: a DFT-relaxed cell (GGA-PBE, Alexandria)
Intensities are scaled so that the largest is 1000.

```
Nb14GaRh
1.0
3.370 -4.619 0.000
3.370 4.619 0.000
0.000 0.000 9.179
Nb Ga Rh
14 1 1
Cartesian
0.000 0.000 0.000
1.685 2.310 0.000
1.685 2.310 4.590
3.370 2.354 2.358
3.370 2.354 6.821
1.737 0.000 2.330
1.737 0.000 6.849
1.685 -2.310 0.000
1.685 -2.310 4.590
3.370 0.000 0.000
5.002 0.000 2.330
5.002 0.000 6.849
3.370 -2.354 2.358
3.370 -2.354 6.821
0.000 0.000 4.590
3.370 0.000 4.590
```

Peak list (8 most intense, 2θ = 10–90°, by angle)
d [Å]  I_rel
2.341  1000
2.310  241
2.295  235
1.685  89
1.628  157
1.339  160
1.334  156
1.171  102

=====

Entry 6:
Calculated XRD peak list
Compound: Tb6Mg2Rh
Radiation: Cu Kα (λ = 1.5418 Å)
Structure: a DFT-relaxed cell (GGA-PBE, Alexandria)
Intensities are scaled so that the largest is 1000.

```
Tb6Mg2Rh
1.0
3.400 -7.736 0.000
3.400 7.736 0.000
0.000 0.000 4.957
Tb Mg Rh
6 2 1
Cartesian
1.693 2.265 2.478
1.650 0.000 0.000
1.693 -2.265 2.478
5.107 2.265 2.478
5.150 0.000 0.000
5.107 -2.265 2.478
3.400 3.783 0.000
3.400 -3.783 0.000
0.000 0.000 2.478
```

Peak list (8 most intense, 2θ = 10–90°, by angle)
d [Å]  I_rel
4.957  306
4.174  311
3.400  556
3.049  876
2.636  752
2.579  296
2.478  472
2.270  1000

=====

Entry 7:
Calculated XRD peak list
Compound: CePm3Te4
Radiation: Cu Kα (λ = 1.5418 Å)
Structure: a DFT-relaxed cell (GGA-PBE, Alexandria)
Intensities are scaled so that the largest is 1000.

```
CePm3Te4
1.0
4.405 0.000 0.000
-2.202 3.815 0.000
0.000 0.000 30.188
Ce Pm Te
2 6 8
Cartesian
0.000 2.543 7.547
2.202 1.272 22.641
0.000 0.000 0.000
0.000 0.000 15.094
0.000 2.543 18.825
0.000 2.543 26.457
2.202 1.272 3.731
2.202 1.272 11.363
0.000 0.000 5.594
0.000 0.000 9.500
0.000 0.000 20.688
0.000 0.000 24.595
0.000 2.543 1.863
0.000 2.543 13.231
2.202 1.272 16.957
2.202 1.272 28.326
```

Peak list (8 most intense, 2θ = 10–90°, by angle)
d [Å]  I_rel
3.405  204
3.225  1000
3.040  876
2.367  349
2.228  385
2.202  826
1.819  193
1.433  410

=====

Entry 8:
Calculated XRD peak list
Compound: Rb2MgTlCl5
Radiation: Cu Kα (λ = 1.5418 Å)
Structure: a DFT-relaxed cell (GGA-PBE, Alexandria)
Intensities are scaled so that the largest is 1000.

```
Rb2MgTlCl5
1.0
-2.485 3.699 7.719
2.485 -3.699 7.719
2.485 3.699 -7.719
Rb Mg Tl Cl
2 1 1 5
Cartesian
0.000 0.000 3.226
0.000 0.000 12.212
2.485 0.000 0.000
0.000 3.699 0.000
0.000 0.000 0.000
2.485 1.800 -1.809
2.485 1.800 1.809
0.000 1.899 5.910
0.000 1.899 9.528
```

Peak list (8 most intense, 2θ = 10–90°, by angle)
d [Å]  I_rel
4.225  418
3.639  1000
2.914  641
2.671  465
2.623  457
2.485  262
2.141  279
1.819  282